Structure and calculated PXRD pattern of TaBi4BrO8 (DFT lattice parameters and positions (PBE); a wavelength of 1.5418 Å).
Peak positions follow from Bragg's law for the DFT cell and can differ from measured ones.

Atomic structure:
Cell lengths 5.546, 5.610, 29.900 Å; angles 90.00, 90.00, 90.00 degrees
Element x y z (fractional)
Ta (0.000, 0.016, 0.250)
Ta (0.000, 0.984, 0.750)
Ta (0.500, 0.484, 0.750)
Ta (0.500, 0.516, 0.250)
Bi (0.008, 0.012, 0.572)
Bi (0.008, 0.988, 0.072)
Bi (0.025, 0.444, 0.341)
Bi (0.025, 0.556, 0.841)
Bi (0.475, 0.056, 0.841)
Bi (0.475, 0.944, 0.341)
Bi (0.492, 0.488, 0.072)
Bi (0.492, 0.512, 0.572)
Bi (0.508, 0.488, 0.428)
Bi (0.508, 0.512, 0.928)
Bi (0.525, 0.056, 0.659)
Bi (0.525, 0.944, 0.159)
Bi (0.975, 0.444, 0.159)
Bi (0.975, 0.556, 0.659)
Bi (0.992, 0.012, 0.928)
Bi (0.992, 0.988, 0.428)
Br (0.000, 0.500, 0.000)
Br (0.000, 0.500, 0.500)
Br (0.500, 0.000, 0.000)
Br (0.500, 0.000, 0.500)
O (0.096, 0.068, 0.314)
O (0.096, 0.932, 0.814)
O (0.243, 0.242, 0.110)
O (0.243, 0.758, 0.610)
O (0.247, 0.298, 0.235)
O (0.247, 0.702, 0.735)
O (0.249, 0.252, 0.892)
O (0.249, 0.748, 0.392)
O (0.251, 0.248, 0.392)
O (0.251, 0.752, 0.892)
O (0.253, 0.202, 0.735)
O (0.253, 0.798, 0.235)
O (0.257, 0.258, 0.610)
O (0.257, 0.742, 0.110)
O (0.404, 0.432, 0.814)
O (0.404, 0.568, 0.314)
O (0.596, 0.432, 0.686)
O (0.596, 0.568, 0.186)
O (0.743, 0.258, 0.890)
O (0.743, 0.742, 0.390)
O (0.747, 0.202, 0.765)
O (0.747, 0.798, 0.265)
O (0.749, 0.248, 0.108)
O (0.749, 0.752, 0.608)
O (0.751, 0.252, 0.608)
O (0.751, 0.748, 0.108)
O (0.753, 0.298, 0.265)
O (0.753, 0.702, 0.765)
O (0.757, 0.242, 0.390)
O (0.757, 0.758, 0.890)
O (0.904, 0.068, 0.186)
O (0.904, 0.932, 0.686)

Main lines, by angle (10 to 90 degrees two-theta):
index	d (Å)	intensity
1 1 4	3.488	8
1 1 6	3.093	100
0 2 0	2.805	16
2 0 0	2.773	18
0 0 12	2.492	11
2 2 0	1.972	16
2 0 12	1.853	9
1 1 16	1.689	9
1 3 6	1.670	11
3 1 6	1.656	16